This entry pairs a crystal structure of Pm2ThSb3 with its theoretical powder XRD pattern. Radiation: CuKα. Structure: a structure optimized by DFT (PBE).

Peak list (12 most intense, 5 to 70 degrees two-theta, sorted by position)
2θ = 15.4°, I = 2; 2θ = 24.2°, I = 6; 2θ = 28.1°, I = 100; 2θ = 40.1°, I = 64; 2θ = 40.2°, I = 13; 2θ = 47.4°, I = 2; 2θ = 49.6°, I = 14; 2θ = 49.7°, I = 14; 2θ = 58.0°, I = 13; 2θ = 65.5°, I = 6; 2θ = 65.6°, I = 24; 2θ = 65.8°, I = 6

Atomic structure:
a = 4.507 Å, b = 6.367 Å, c = 13.454 Å
α = 90.00°, β = 90.00°, γ = 90.00°
Fractional coordinates of all 12 atoms:
Pm (0.000, 0.000, 0.167)
Pm (0.000, 0.000, 0.833)
Pm (0.500, 0.500, 0.333)
Pm (0.500, 0.500, 0.667)
Th (0.000, 0.000, 0.500)
Th (0.500, 0.500, 0.000)
Sb (0.000, 0.500, 0.166)
Sb (0.000, 0.500, 0.500)
Sb (0.000, 0.500, 0.834)
Sb (0.500, 0.000, 0.000)
Sb (0.500, 0.000, 0.334)
Sb (0.500, 0.000, 0.666)

This entry pairs a crystal structure of CuBPOsS with its theoretical powder XRD pattern. Radiation: CuKα. Structure: a structure optimized by DFT (PBE).

Peak list (12 most intense, 5 to 70 degrees two-theta, sorted by position)
2θ = 14.1°, I = 100; 2θ = 24.1°, I = 42; 2θ = 26.3°, I = 47; 2θ = 28.5°, I = 36; 2θ = 29.7°, I = 36; 2θ = 31.7°, I = 77; 2θ = 32.5°, I = 51; 2θ = 39.1°, I = 43; 2θ = 46.9°, I = 76; 2θ = 49.6°, I = 42; 2θ = 49.9°, I = 36; 2θ = 54.5°, I = 19

Atomic structure:
a = 7.453 Å, b = 3.101 Å, c = 6.893 Å
α = 90.00°, β = 114.50°, γ = 90.00°
Fractional coordinates of all 10 atoms:
Cu (0.000, 0.000, 0.000)
Cu (0.500, 0.500, 0.000)
B (0.105, 0.500, 0.487)
B (0.605, 0.000, 0.487)
P (0.290, 0.000, 0.747)
P (0.790, 0.500, 0.747)
Os (0.446, 0.500, 0.591)
Os (0.946, 0.000, 0.591)
S (0.167, 0.500, 0.256)
S (0.667, 0.000, 0.256)